Record 1
BeRhW4: simulated powder X-ray diffraction pattern (λ = 1.5418 Å (Cu Kα)), based on the GGA-PBE geometry in Alexandria.

Principal peaks in the range 2θ = 10–90°, sorted by position:
2θ (°)	Rel. int.
20.93	75.7
40.71	100.0
42.61	79.0
49.61	27.1
54.41	19.3
66.05	32.6
72.79	32.0
76.71	13.6
86.91	11.7
88.17	31.2

Structural model:
Lattice parameters (Å, degrees): 7.3500 7.3500 7.3500 90.00 90.00 90.00
Space group F-43m (No. 216)
Symmetry-distinct sites (fractional):
Be 0.0000 0.0000 0.0000 x4
Rh 0.2500 0.2500 0.7500 x4
W 0.1264 0.1264 0.3736 x16


Record 2
BeRh2W: simulated powder X-ray diffraction pattern (λ = 1.5418 Å (Cu Kα)), based on the GGA-PBE geometry in Alexandria.

Principal peaks in the range 2θ = 10–90°, sorted by position:
2θ (°)	Rel. int.
13.47	44.8
34.80	59.9
41.19	18.0
42.38	100.0
45.79	44.6
63.27	20.2
66.76	14.3
75.09	13.1
80.72	14.3
82.34	29.0

Structural model:
Lattice parameters (Å, degrees): 2.8025 2.8025 6.5746 90.00 90.00 90.00
Space group P4/mmm (No. 123)
Symmetry-distinct sites (fractional):
Be 0.0000 0.0000 0.0000 x1
Rh 0.5000 0.5000 0.2142 x2
W 0.0000 0.0000 0.5000 x1


Record 3
YBe9Rh2: simulated powder X-ray diffraction pattern (λ = 1.5418 Å (Cu Kα)), based on the GGA-PBE geometry in Alexandria.

Principal peaks in the range 2θ = 10–90°, sorted by position:
2θ (°)	Rel. int.
12.40	37.2
22.95	58.7
23.79	71.5
24.94	30.1
34.15	22.2
39.18	100.0
40.31	68.5
47.98	46.9
57.47	27.0
72.52	31.0

Structural model:
Lattice parameters (Å, degrees): 4.4750 4.4750 14.2815 90.00 90.00 120.00
Space group P6_3/mmc (No. 194)
Symmetry-distinct sites (fractional):
Y 0.3333 0.6667 0.2500 x2
Be 0.0000 0.0000 0.0000 x2
Be 0.0000 0.0000 0.2500 x2
Be 0.1699 0.3397 0.6164 x12
Be 0.3333 0.6667 0.7500 x2
Rh 0.3333 0.6667 0.0399 x4


Record 4
YBe3Rh3: simulated powder X-ray diffraction pattern (λ = 1.5418 Å (Cu Kα)), based on the GGA-PBE geometry in Alexandria.

Principal peaks in the range 2θ = 10–90°, sorted by position:
2θ (°)	Rel. int.
29.80	35.4
33.41	100.0
36.71	79.6
52.88	13.3
55.22	23.4
57.50	41.9
61.89	18.5
72.18	20.5
87.62	18.7
89.51	12.2

Structural model:
Lattice parameters (Å, degrees): 5.9972 5.9972 5.9972 90.00 90.00 90.00
Space group Pm-3n (No. 223)
Symmetry-distinct sites (fractional):
Y 0.0000 0.0000 0.0000 x2
Be 0.0000 0.2500 0.5000 x6
Rh 0.0000 0.5000 0.2500 x6